The following is a theoretical X-ray powder pattern of AcNd3Tm4. It was derived from a crystal structure in Alexandria, relaxed with PBE, using λ = 1.5418 Å (Cu Kα).
Peak positions follow from Bragg's law for the DFT cell and can differ from measured ones.

```
data_AcNd3Tm4
_cell_length_a 9.051
_cell_length_b 9.051
_cell_length_c 9.051
_cell_angle_alpha 157.89
_cell_angle_beta 98.81
_cell_angle_gamma 85.44
_symmetry_space_group_name_H-M 'P 1'
_symmetry_Int_Tables_number 1
_symmetry_space_group_name_Hall 'P 1'
loop_
_atom_site_label
_atom_site_fract_x
_atom_site_fract_y
_atom_site_fract_z
Ac1 0.000 0.000 0.000
Nd1 0.244 0.744 0.500
Nd2 0.500 0.500 0.000
Nd3 0.756 0.256 0.500
Tm1 0.116 0.863 0.253
Tm2 0.390 0.137 0.253
Tm3 0.610 0.863 0.747
Tm4 0.884 0.137 0.747
```

Principal peaks in the range 2θ = 5–70°, by angle:
Position (°2θ)	d (Å)	intensity
26.54	3.359	22.2
30.01	2.978	55.4
30.35	2.945	54.9
30.64	2.918	17.0
30.88	2.895	100.0
36.23	2.479	35.7
37.12	2.422	30.7
40.74	2.215	16.4
48.68	1.871	15.0
54.26	1.690	20.6
62.07	1.495	14.5
62.37	1.489	27.4